Record 1
Structure and computed powder diffractogram of YTi2O4 (the GGA-PBE geometry in the Materials Project; Cu Kα X-rays).

Structure:
```
14
Lattice="0.000 4.463 4.463 4.463 0.000 4.463 4.463 4.463 0.000" Properties=species:S:1:pos:R:3 pbc="T T T"
Y 1.116 1.116 1.116
Y 7.810 7.810 7.810
Ti 4.463 2.231 2.231
Ti 2.231 4.463 2.231
Ti 2.231 2.231 4.463
Ti 4.463 4.463 4.463
O 2.350 2.350 2.350
O 4.344 4.344 2.350
O 4.344 2.350 4.344
O 6.575 4.582 4.582
O 2.350 4.344 4.344
O 4.582 6.575 4.582
O 4.582 4.582 6.575
O 6.575 6.575 6.575
```

The 10 most intense peaks (5 to 70 degrees two-theta), by angle:
| d_spacing | Rel. int. |
| --- | --- |
| 3.156 | 56 |
| 2.691 | 100 |
| 2.577 | 2 |
| 2.231 | 5 |
| 2.048 | 3 |
| 1.822 | 21 |
| 1.718 | 39 |
| 1.578 | 42 |
| 1.411 | 8 |
| 1.361 | 11 |



Record 2
Structure and computed powder diffractogram of SiO2 (the GGA-PBE geometry in the Materials Project; Cu Kα X-rays).

Structure:
```
12
Lattice="5.111 0.000 0.000 -2.555 4.426 0.000 0.000 0.000 8.627" Properties=species:S:1:pos:R:3 pbc="T T T"
Si 0.000 2.951 0.542
Si 0.000 2.951 3.772
Si 2.555 1.475 4.855
Si 2.555 1.475 8.085
O -1.075 1.862 0.000
O -1.481 2.564 4.313
O 0.000 2.951 2.157
O 2.150 0.000 0.000
O 1.075 1.862 4.313
O 2.961 0.000 4.313
O 1.481 2.564 0.000
O 2.555 1.475 6.470
```

The 10 most intense peaks (5 to 70 degrees two-theta), by angle:
| d_spacing | Rel. int. |
| --- | --- |
| 4.426 | 100 |
| 4.313 | 69 |
| 3.938 | 67 |
| 3.089 | 18 |
| 2.555 | 24 |
| 2.450 | 13 |
| 2.411 | 14 |
| 2.144 | 10 |
| 1.642 | 11 |
| 1.608 | 13 |



Record 3
Structure and computed powder diffractogram of KLi4NbO5 (the GGA-PBE geometry in the Materials Project; Cu Kα X-rays).

Structure:
```
22
Lattice="5.868 0.000 0.000 2.918 5.231 0.000 1.585 -0.618 8.160" Properties=species:S:1:pos:R:3 pbc="T T T"
K 1.501 1.191 0.683
K 8.869 3.421 7.477
Li 3.002 2.928 3.372
Li 1.542 -0.232 3.102
Li 4.373 3.424 0.911
Li 4.514 1.697 4.936
Li 5.857 2.916 3.225
Li 5.997 1.188 7.249
Li 8.829 4.845 5.059
Li 7.369 1.685 4.788
Nb 5.940 4.472 5.698
Nb 4.431 0.141 2.462
O 2.849 4.137 1.820
O 4.490 3.613 4.508
O 3.072 0.942 3.819
O 5.945 3.158 7.062
O 4.508 0.352 6.369
O 5.862 4.261 1.792
O 4.425 1.455 1.098
O 7.299 3.671 4.342
O 5.881 1.000 3.652
O 7.522 0.476 6.341
```

The 10 most intense peaks (5 to 70 degrees two-theta), by angle:
| d_spacing | Rel. int. |
| --- | --- |
| 5.216 | 100 |
| 4.722 | 66 |
| 4.582 | 40 |
| 4.252 | 27 |
| 4.075 | 53 |
| 2.893 | 51 |
| 2.779 | 28 |
| 2.490 | 27 |
| 2.291 | 43 |
| 2.275 | 63 |



Record 4
Structure and computed powder diffractogram of La2HfS5 (the GGA-PBE geometry in the Materials Project; Cu Kα X-rays).

Structure:
```
32
Lattice="11.714 0.000 0.000 0.000 8.133 0.000 0.000 0.000 7.477" Properties=species:S:1:pos:R:3 pbc="T T T"
La 2.060 8.129 0.266
La 2.060 4.071 0.266
La 3.797 0.004 4.004
La 3.797 4.063 4.004
La 7.917 8.129 3.472
La 7.917 4.071 3.472
La 9.654 0.004 7.211
La 9.654 4.063 7.211
Hf 0.090 2.033 4.281
Hf 5.767 6.100 0.543
Hf 5.947 2.033 6.934
Hf 11.624 6.100 3.196
S 0.078 2.033 7.015
S 0.955 4.349 4.967
S 0.955 7.850 4.967
S 2.140 2.033 2.596
S 2.384 6.100 2.423
S 3.473 2.033 6.161
S 3.717 6.100 6.334
S 4.902 0.283 1.228
S 4.902 3.784 1.228
S 5.779 6.100 3.276
S 5.934 2.033 4.200
S 6.811 4.349 6.248
S 6.811 7.850 6.248
S 7.997 2.033 1.142
S 8.241 6.100 1.315
S 9.330 2.033 5.054
S 9.574 6.100 4.880
S 10.759 0.283 2.510
S 10.759 3.784 2.510
S 11.636 6.100 0.462
```

The 10 most intense peaks (5 to 70 degrees two-theta), by angle:
| d_spacing | Rel. int. |
| --- | --- |
| 3.738 | 47 |
| 3.461 | 100 |
| 3.417 | 80 |
| 3.340 | 59 |
| 2.679 | 26 |
| 2.491 | 65 |
| 2.376 | 29 |
| 2.033 | 31 |
| 1.959 | 45 |
| 1.753 | 40 |



Record 5
Structure and computed powder diffractogram of AlNi2As (the GGA-PBE geometry in the Materials Project; Cu Kα X-rays).

Structure:
```
4
Lattice="3.640 0.000 0.000 -1.820 3.152 0.000 0.000 0.000 4.897" Properties=species:S:1:pos:R:3 pbc="T T T"
Al 0.000 0.000 0.000
Ni 0.000 2.102 1.242
Ni 0.000 2.102 3.655
As 1.820 1.051 2.448
```

The 10 most intense peaks (5 to 70 degrees two-theta), by angle:
| d_spacing | Rel. int. |
| --- | --- |
| 4.897 | 16 |
| 3.152 | 48 |
| 2.651 | 64 |
| 2.448 | 1 |
| 1.934 | 100 |
| 1.820 | 64 |
| 1.706 | 6 |
| 1.576 | 6 |
| 1.500 | 11 |
| 1.449 | 10 |



Record 6
Structure and computed powder diffractogram of HoIn3 (the GGA-PBE geometry in the Materials Project; Cu Kα X-rays).

Structure:
```
4
Lattice="4.630 0.000 0.000 0.000 4.630 0.000 0.000 0.000 4.630" Properties=species:S:1:pos:R:3 pbc="T T T"
Ho 0.000 0.000 0.000
In 0.000 2.315 2.315
In 2.315 0.000 2.315
In 2.315 2.315 0.000
```

The 9 most intense peaks (5 to 70 degrees two-theta), by angle:
| d_spacing | Rel. int. |
| --- | --- |
| 4.630 | 2 |
| 3.274 | 2 |
| 2.673 | 100 |
| 2.315 | 50 |
| 2.071 | 1 |
| 1.890 | 1 |
| 1.637 | 33 |
| 1.543 | 1 |
| 1.396 | 39 |



Record 7
Structure and computed powder diffractogram of U3Cu2Se7 (the GGA-PBE geometry in the Materials Project; Cu Kα X-rays).

Structure:
```
24
Lattice="10.159 0.000 0.000 -5.080 8.798 0.000 0.000 0.000 5.970" Properties=species:S:1:pos:R:3 pbc="T T T"
U -0.377 3.331 0.000
U -2.006 7.459 0.000
U 2.696 1.992 2.985
U 2.383 6.806 0.000
U 7.086 1.339 2.985
U 5.456 5.467 2.985
Cu 0.000 0.000 2.827
Cu 0.000 0.000 5.812
Cu 0.000 5.865 3.776
Cu 5.080 2.933 0.790
Se -2.090 4.966 4.493
Se -0.225 2.328 2.907
Se -2.951 7.829 2.907
Se 1.903 1.359 5.892
Se 0.000 5.865 1.352
Se 1.824 4.505 4.493
Se 0.266 8.125 4.493
Se 4.813 0.673 1.507
Se 3.255 4.293 1.507
Se 5.080 2.933 4.337
Se 3.176 7.439 2.907
Se 8.031 0.969 5.892
Se 5.305 6.470 5.892
Se 7.170 3.832 1.507
```

The 10 most intense peaks (5 to 70 degrees two-theta), by angle:
| d_spacing | Rel. int. |
| --- | --- |
| 4.940 | 57 |
| 3.541 | 97 |
| 3.325 | 38 |
| 2.632 | 84 |
| 2.540 | 100 |
| 2.470 | 57 |
| 2.259 | 42 |
| 2.221 | 93 |
| 1.912 | 39 |
| 1.828 | 48 |